UCoN2: theoretical powder X-ray diffraction pattern (Cu Kα, 1.54184 Å), based on DFT lattice parameters and positions (GGA-PBE).
Lines closer than 0.1° are merged.

Largest 10 diffraction maxima, sorted by position, 15° ≤ 2θ ≤ 90°:
two_theta, I/Imax, index
16.52, 54, 0 0 3
29.27, 26, 1 0 1
30.85, 100, 0 1 2
33.40, 24, 0 0 6
36.54, 52, 1 0 4
40.34, 20, 0 1 5
50.90, 28, 1 1 0
53.89, 16, 1 1 3
54.32, 22, 0 1 8
62.26, 25, 1 1 6

Crystal structure
a = 3.5879 Å, b = 3.5879 Å, c = 16.0954 Å
α = 90.00°, β = 90.00°, γ = 120.00°
Space group R-3m (No. 166, hexagonal axes)
Unique sites:
U (0.0000, 0.0000, 0.0000) [3 per cell]
Co (0.0000, 0.0000, 0.5000) [3 per cell]
N (0.0000, 0.0000, 0.3876) [6 per cell]

---

VCo2N3: theoretical powder X-ray diffraction pattern (Cu Kα, 1.54184 Å), based on DFT lattice parameters and positions (GGA-PBE).
Lines closer than 0.1° are merged.

Largest 10 diffraction maxima, sorted by position, 15° ≤ 2θ ≤ 90°:
two_theta, I/Imax, index
34.26, 49, 0 2 0
35.35, 38, 0 0 2
38.70, 100, 3 1 1
50.05, 19, 0 2 2
61.34, 28, 3 3 0
65.69, 32, 3 1 3
72.18, 4, 6 2 0
72.83, 22, 3 3 2
74.93, 12, 0 4 1
83.01, 4, 6 2 2

Crystal structure
a = 9.0689 Å, b = 5.2342 Å, c = 5.0782 Å
α = 90.00°, β = 90.00°, γ = 90.00°
Space group Cmc2_1 (No. 36)
Unique sites:
V (0.0000, 0.1772, 0.0000) [4 per cell]
Co (0.1575, 0.3278, 0.5367) [8 per cell]
N (0.0000, 0.1613, 0.3703) [4 per cell]
N (0.1766, 0.3411, 0.9028) [8 per cell]

---

VZnCo2N: theoretical powder X-ray diffraction pattern (Cu Kα, 1.54184 Å), based on DFT lattice parameters and positions (GGA-PBE).
Lines closer than 0.1° are merged.

Largest 10 diffraction maxima, sorted by position, 15° ≤ 2θ ≤ 90°:
two_theta, I/Imax, index
33.02, 4, 1 0 1
40.90, 100, 1 1 1
46.82, 20, 0 0 2
47.97, 37, 2 0 0
59.48, 1, 2 1 1
69.28, 22, 2 0 2
70.19, 11, 2 2 0
82.85, 11, 1 1 3
84.56, 21, 3 1 1
88.67, 11, 2 2 2

Crystal structure
a = 3.7927 Å, b = 3.7927 Å, c = 3.8808 Å
α = 90.00°, β = 90.00°, γ = 90.00°
Space group P4/mmm (No. 123)
Unique sites:
V (0.0000, 0.0000, 0.0000) [1 per cell]
Zn (0.5000, 0.5000, 0.0000) [1 per cell]
Co (0.0000, 0.5000, 0.5000) [2 per cell]
N (0.0000, 0.0000, 0.5000) [1 per cell]

---

Co2W3N: theoretical powder X-ray diffraction pattern (Cu Kα, 1.54184 Å), based on DFT lattice parameters and positions (GGA-PBE).
Lines closer than 0.1° are merged.

Largest 10 diffraction maxima, sorted by position, 15° ≤ 2θ ≤ 90°:
two_theta, I/Imax, index
23.06, 13, 1 1 1
29.91, 18, 2 1 0
32.85, 10, 2 1 1
40.52, 100, 2 2 1
42.82, 60, 3 1 0
45.02, 25, 3 1 1
58.64, 12, 4 1 1
72.11, 22, 4 3 1
76.86, 19, 5 2 0
86.13, 11, 5 3 1

Crystal structure
a = 6.6791 Å, b = 6.6791 Å, c = 6.6791 Å
α = 90.00°, β = 90.00°, γ = 90.00°
Space group P4_132 (No. 213)
Unique sites:
Co (0.0672, 0.0672, 0.0672) [8 per cell]
W (0.0494, 0.8750, 0.7006) [12 per cell]
N (0.1250, 0.6250, 0.8750) [4 per cell]

---

ZnCoN: theoretical powder X-ray diffraction pattern (Cu Kα, 1.54184 Å), based on DFT lattice parameters and positions (GGA-PBE).
Lines closer than 0.1° are merged.

Largest 10 diffraction maxima, sorted by position, 15° ≤ 2θ ≤ 90°:
two_theta, I/Imax, index
37.48, 15, 1 0 0
38.53, 22, 0 0 2
42.34, 100, 1 0 1
54.84, 22, 0 1 2
59.33, 3, 0 0 3
67.62, 17, 1 1 0
72.32, 14, 1 0 3
79.96, 2, 2 0 0
80.62, 14, 1 1 2
83.11, 12, 0 2 1

Crystal structure
a = 2.7709 Å, b = 2.7709 Å, c = 4.6727 Å
α = 90.00°, β = 90.00°, γ = 120.00°
Space group P3m1 (No. 156)
Unique sites:
Zn (0.0000, 0.0000, 0.0000) [1 per cell]
Co (0.3333, 0.6667, 0.5620) [1 per cell]
N (0.6667, 0.3333, 0.3528) [1 per cell]

---

Zr6CoN: theoretical powder X-ray diffraction pattern (Cu Kα, 1.54184 Å), based on DFT lattice parameters and positions (GGA-PBE).
Lines closer than 0.1° are merged.

Largest 10 diffraction maxima, sorted by position, 15° ≤ 2θ ≤ 90°:
two_theta, I/Imax, index
30.73, 12, 1 1 0
32.95, 19, 0 0 6
34.98, 100, 1 1 3
45.67, 25, 2 -1 6
54.63, 21, 3 0 0
60.15, 18, 1 1 9
65.29, 14, 3 0 6
66.54, 13, 4 -2 3
73.89, 5, 2 2 6
85.61, 6, 4 -2 9

Crystal structure
a = 5.8192 Å, b = 5.8192 Å, c = 16.3113 Å
α = 90.00°, β = 90.00°, γ = 120.00°
Space group R-3 (No. 148, hexagonal axes)
Unique sites:
Zr (0.0036, 0.6488, 0.0880) [18 per cell]
Co (0.0000, 0.0000, 0.0000) [3 per cell]
N (0.0000, 0.0000, 0.5000) [3 per cell]

---

ZrCo2N2: theoretical powder X-ray diffraction pattern (Cu Kα, 1.54184 Å), based on DFT lattice parameters and positions (GGA-PBE).
Lines closer than 0.1° are merged.

Largest 10 diffraction maxima, sorted by position, 15° ≤ 2θ ≤ 90°:
two_theta, I/Imax, index
36.15, 100, 1 0 1
44.07, 19, 0 0 3
44.47, 74, 0 1 2
56.14, 5, 1 0 3
58.92, 32, 1 1 0
70.23, 15, 1 0 4
71.11, 13, 0 2 1
76.42, 21, 1 1 3
76.71, 13, 2 0 2
86.75, 8, 0 1 5

Crystal structure
a = 3.1351 Å, b = 3.1351 Å, c = 6.1644 Å
α = 90.00°, β = 90.00°, γ = 120.00°
Space group P-3m1 (No. 164)
Unique sites:
Zr (0.0000, 0.0000, 0.0000) [1 per cell]
Co (0.3333, 0.6667, 0.6532) [2 per cell]
N (0.3333, 0.6667, 0.2282) [2 per cell]